Entry 1:
Simulated powder XRD pattern
Compound: BaNaAgSnSe4
Radiation: a wavelength of 1.5418 Å
Structure: the GGA-PBE geometry in OQMD
Kinematic intensities with the Lorentz-polarization factor, no thermal factor.

Top 10 peaks for 2θ from 5° to 70°, most intense first:
Position (°2θ)	I/Imax	index
27.02	100	0 2 1
43.78	57	2 2 1
33.79	50	0 0 2
28.63	28	1 1 1
49.61	23	2 4 0
31.94	22	2 2 0
15.81	21	1 1 0
16.71	17	0 0 1
51.36	12	5 1 -1
48.53	12	4 0 0

Structure:
```
data_BaNaAgSnSe4
_chemical_formula_sum 'Ba2 Na2 Ag2 Sn2 Se8'
_symmetry_space_group_name_H-M 'C 1 2 1'
_symmetry_Int_Tables_number 5
_cell_length_a 10.6090
_cell_length_b 8.4298
_cell_length_c 7.5026
_cell_angle_alpha 90.00
_cell_angle_beta 134.98
_cell_angle_gamma 90.00
loop_
_symmetry_equiv_pos_as_xyz
'x,y,z'
'-x,y,-z'
'x+1/2,y+1/2,z'
'-x+1/2,y+1/2,-z'
loop_
_atom_site_label
_atom_site_type_symbol
_atom_site_fract_x
_atom_site_fract_y
_atom_site_fract_z
Ba1 Ba 0.0000 0.0000 0.0000
Na1 Na 0.0000 0.7493 0.5000
Ag1 Ag 0.0000 0.2508 0.5000
Sn1 Sn 0.0000 0.5000 0.0000
Se1 Se 0.1911 0.3285 0.3991
Se2 Se 0.2081 0.6715 0.0170
```

***

Entry 2:
Simulated powder XRD pattern
Compound: Ge2Pd9
Radiation: a wavelength of 1.5418 Å
Structure: the GGA-PBE geometry in OQMD
Kinematic intensities with the Lorentz-polarization factor, no thermal factor.

Top 10 peaks for 2θ from 5° to 70°, most intense first:
Position (°2θ)	I/Imax	index
38.74	100	0 0 16
39.57	67	1 0 6
45.77	64	0 1 11
66.09	29	1 1 0
67.39	19	1 0 22
41.34	19	0 0 17
44.31	17	0 1 10
9.53	14	0 0 4
47.34	11	0 1 12
65.07	6	1 0 21

Structure:
```
data_Ge2Pd9
_chemical_formula_sum 'Ge2 Pd9'
_symmetry_space_group_name_H-M 'P -3 m 1'
_symmetry_Int_Tables_number 164
_symmetry_space_group_name_Hall '-P 3 2"'
_cell_length_a 2.8281
_cell_length_b 2.8281
_cell_length_c 37.1263
_cell_angle_alpha 90.00
_cell_angle_beta 90.00
_cell_angle_gamma 120.00
loop_
_atom_site_label
_atom_site_type_symbol
_atom_site_fract_x
_atom_site_fract_y
_atom_site_fract_z
Ge1 Ge 0.3333 0.6667 0.3012
Pd1 Pd 0.0000 0.0000 0.0000
Pd2 Pd 0.0000 0.0000 0.1827
Pd3 Pd 0.3333 0.6667 0.1212
Pd4 Pd 0.3333 0.6667 0.7548
Pd5 Pd 0.3333 0.6667 0.9395
```

***

Entry 3:
Simulated powder XRD pattern
Compound: Y2HoNi2B2C3
Radiation: a wavelength of 1.5418 Å
Structure: the GGA-PBE geometry in OQMD
Kinematic intensities with the Lorentz-polarization factor, no thermal factor.

Top 10 peaks for 2θ from 5° to 70°, most intense first:
Position (°2θ)	I/Imax	index
28.17	100	1 0 3
33.31	92	1 0 5
36.56	75	1 1 2
35.25	57	0 0 8
51.00	43	2 0 0
44.64	41	1 1 6
63.51	38	2 0 8
35.44	31	1 1 0
62.28	30	2 1 5
59.27	27	2 1 3

Structure:
```
data_Y2HoNi2B2C3
_chemical_formula_sum 'Y4 Ho2 Ni4 B4 C6'
_symmetry_space_group_name_H-M 'I 4/m m m'
_symmetry_Int_Tables_number 139
_symmetry_space_group_name_Hall '-I 4 2'
_cell_length_a 3.5817
_cell_length_b 3.5817
_cell_length_c 20.3675
_cell_angle_alpha 90.00
_cell_angle_beta 90.00
_cell_angle_gamma 90.00
loop_
_atom_site_label
_atom_site_type_symbol
_atom_site_fract_x
_atom_site_fract_y
_atom_site_fract_z
Y1 Y 0.0000 0.0000 0.1225
Ho1 Ho 0.0000 0.0000 0.5000
Ni1 Ni 0.0000 0.5000 0.2500
B1 B 0.0000 0.0000 0.3039
C1 C 0.0000 0.0000 0.0000
C2 C 0.0000 0.0000 0.3768
```

***

Entry 4:
Simulated powder XRD pattern
Compound: LiPr2O4
Radiation: a wavelength of 1.5418 Å
Structure: the GGA-PBE geometry in OQMD
Kinematic intensities with the Lorentz-polarization factor, no thermal factor.

Top 10 peaks for 2θ from 5° to 70°, most intense first:
Position (°2θ)	I/Imax	index
15.42	100	1 1 1
29.77	60	3 1 1
36.09	52	4 0 0
31.12	41	2 2 2
51.97	36	4 4 0
47.46	25	5 1 1
39.46	22	3 3 1
54.54	22	5 3 1
61.82	20	6 2 2
67.16	12	5 5 1

Structure:
abc: 9.9542 9.9542 9.9542
angles: 90.00 90.00 90.00
Space group Fd-3m (No. 227, origin choice 2)
Unique sites:
Li1 0.1250 0.1250 0.1250 [8 per cell]
Pr1 0.0000 0.0000 0.5000 [16 per cell]
O1 0.0105 0.0105 0.7395 [32 per cell]

***

Entry 5:
Simulated powder XRD pattern
Compound: CuAg8
Radiation: a wavelength of 1.5418 Å
Structure: the GGA-PBE geometry in OQMD
Kinematic intensities with the Lorentz-polarization factor, no thermal factor.

Top 10 peaks for 2θ from 5° to 70°, most intense first:
Position (°2θ)	I/Imax	index
37.88	100	1 1 3
44.06	64	2 -1 6
38.03	33	0 0 9
64.18	20	1 1 12
63.97	20	3 0 0
26.40	1	1 0 4
22.00	1	0 1 2
29.29	1	0 1 5
20.77	1	1 0 1
25.09	1	0 0 6

Structure:
```
data_CuAg8
_chemical_formula_sum 'Cu3 Ag24'
_symmetry_space_group_name_H-M 'R -3'
_symmetry_Int_Tables_number 148
_symmetry_space_group_name_Hall '-R 3'
_cell_length_a 5.0414
_cell_length_b 5.0414
_cell_length_c 21.2951
_cell_angle_alpha 90.00
_cell_angle_beta 90.00
_cell_angle_gamma 120.00
loop_
_atom_site_label
_atom_site_type_symbol
_atom_site_fract_x
_atom_site_fract_y
_atom_site_fract_z
Cu1 Cu 0.0000 0.0000 0.0000
Ag1 Ag 0.0000 0.0000 0.3334
Ag2 Ag 0.9999 0.3288 0.8903
```

***

Entry 6:
Simulated powder XRD pattern
Compound: YZr
Radiation: a wavelength of 1.5418 Å
Structure: the GGA-PBE geometry in OQMD
Kinematic intensities with the Lorentz-polarization factor, no thermal factor.

Top 10 peaks for 2θ from 5° to 70°, most intense first:
Position (°2θ)	I/Imax	index
34.30	100	1 2 1
34.74	50	1 0 2
33.60	37	2 0 0
29.79	25	0 2 1
64.66	19	2 2 3
60.53	18	3 2 1
53.49	17	0 2 3
45.51	15	2 2 1
64.54	14	1 4 2
30.28	12	0 0 2

Structure:
```
data_YZr
_chemical_formula_sum 'Y4 Zr4'
_symmetry_space_group_name_H-M 'P m m 2'
_symmetry_Int_Tables_number 25
_cell_length_a 5.3348
_cell_length_b 6.9656
_cell_length_c 5.9027
_cell_angle_alpha 90.00
_cell_angle_beta 90.00
_cell_angle_gamma 90.00
loop_
_symmetry_equiv_pos_as_xyz
'x,y,z'
'-x,-y,z'
'-x,y,z'
'x,-y,z'
loop_
_atom_site_label
_atom_site_type_symbol
_atom_site_fract_x
_atom_site_fract_y
_atom_site_fract_z
Y1 Y 0.0000 0.0000 0.0000
Y2 Y 0.0000 0.2663 0.5208
Y3 Y 0.5000 0.0000 0.3608
Zr1 Zr 0.0000 0.5000 0.0262
Zr2 Zr 0.5000 0.2812 0.8587
Zr3 Zr 0.5000 0.5000 0.3241
```

***

Entry 7:
Simulated powder XRD pattern
Compound: Sc3U2P3
Radiation: a wavelength of 1.5418 Å
Structure: the GGA-PBE geometry in OQMD
Kinematic intensities with the Lorentz-polarization factor, no thermal factor.

Top 10 peaks for 2θ from 5° to 70°, most intense first:
Position (°2θ)	I/Imax	index
21.85	100	0 1 2
37.67	88	1 1 3
11.88	69	0 0 3
35.62	68	1 1 0
34.80	67	1 0 7
28.58	56	0 1 5
38.24	48	0 1 8
46.28	36	2 0 5
45.59	24	1 0 10
63.45	24	2 1 7

Structure:
```
data_Sc3U2P3
_chemical_formula_sum 'Sc9 U6 P9'
_symmetry_space_group_name_H-M 'R -3 m'
_symmetry_Int_Tables_number 166
_symmetry_space_group_name_Hall '-R 3 2"'
_cell_length_a 5.0417
_cell_length_b 5.0417
_cell_length_c 22.3557
_cell_angle_alpha 90.00
_cell_angle_beta 90.00
_cell_angle_gamma 120.00
loop_
_atom_site_label
_atom_site_type_symbol
_atom_site_fract_x
_atom_site_fract_y
_atom_site_fract_z
Sc1 Sc 0.0000 0.5000 0.0000
U1 U 0.0000 0.0000 0.1982
P1 P 0.0000 0.0000 0.0678
P2 P 0.0000 0.0000 0.5000
```

***

Entry 8:
Simulated powder XRD pattern
Compound: BaReO3
Radiation: a wavelength of 1.5418 Å
Structure: the GGA-PBE geometry in OQMD
Kinematic intensities with the Lorentz-polarization factor, no thermal factor.

Top 10 peaks for 2θ from 5° to 70°, most intense first:
Position (°2θ)	I/Imax	index
31.33	100	2 0 0
55.77	40	3 2 1
44.86	18	2 0 2
65.40	11	2 4 2
44.97	9	0 4 0
22.01	6	1 0 1
65.32	6	4 0 0
50.52	2	3 0 1
69.88	1	4 2 0
50.60	1	1 4 1

Structure:
```
data_BaReO3
_chemical_formula_sum 'Ba4 Re4 O12'
_symmetry_space_group_name_H-M 'P n m a'
_symmetry_Int_Tables_number 62
_cell_length_a 5.7165
_cell_length_b 8.0635
_cell_length_c 5.7122
_cell_angle_alpha 90.00
_cell_angle_beta 90.00
_cell_angle_gamma 90.00
loop_
_symmetry_equiv_pos_as_xyz
'x,y,z'
'-x,-y,-z'
'-x+1/2,-y,z+1/2'
'x+1/2,y,-z+1/2'
'x+1/2,-y+1/2,-z+1/2'
'-x+1/2,y+1/2,z+1/2'
'-x,y+1/2,-z'
'x,-y+1/2,z'
loop_
_atom_site_label
_atom_site_type_symbol
_atom_site_fract_x
_atom_site_fract_y
_atom_site_fract_z
Ba1 Ba 0.0009 0.2500 0.0000
Re1 Re 0.0000 0.0000 0.5000
O1 O 0.0007 0.2500 0.4986
O2 O 0.2488 0.5007 0.2490
```

***

Entry 9:
Simulated powder XRD pattern
Compound: DyGe3Pt4
Radiation: a wavelength of 1.5418 Å
Structure: the GGA-PBE geometry in OQMD
Kinematic intensities with the Lorentz-polarization factor, no thermal factor.

Top 10 peaks for 2θ from 5° to 70°, most intense first:
Position (°2θ)	I/Imax	index
35.42	100	0 1 2
38.35	88	1 1 -2
42.61	74	2 1 1
41.32	69	2 1 -1
46.09	63	0 2 0
27.73	59	1 1 0
39.71	58	1 1 2
35.64	38	2 0 1
26.93	24	0 0 2
34.15	23	2 0 -1

Structure:
```
data_DyGe3Pt4
_chemical_formula_sum 'Dy1 Ge3 Pt4'
_symmetry_space_group_name_H-M 'P 1 m 1'
_symmetry_Int_Tables_number 6
_cell_length_a 5.5882
_cell_length_b 3.9385
_cell_length_c 6.6338
_cell_angle_alpha 90.00
_cell_angle_beta 93.33
_cell_angle_gamma 90.00
loop_
_symmetry_equiv_pos_as_xyz
'x,y,z'
'x,-y,z'
loop_
_atom_site_label
_atom_site_type_symbol
_atom_site_fract_x
_atom_site_fract_y
_atom_site_fract_z
Dy1 Dy 0.0000 0.0000 0.0000
Ge1 Ge 0.2333 0.0000 0.5263
Ge2 Ge 0.4670 0.5000 0.8814
Ge3 Ge 0.7484 0.5000 0.3523
Pt1 Pt 0.0336 0.5000 0.6908
Pt2 Pt 0.2091 0.5000 0.2808
Pt3 Pt 0.5269 0.0000 0.1492
Pt4 Pt 0.6705 0.0000 0.6225
```

***

Entry 10:
Simulated powder XRD pattern
Compound: Pr2NdB2N4
Radiation: a wavelength of 1.5418 Å
Structure: the GGA-PBE geometry in OQMD
Kinematic intensities with the Lorentz-polarization factor, no thermal factor.

Top 10 peaks for 2θ from 5° to 70°, most intense first:
Position (°2θ)	I/Imax	index
33.32	100	1 1 2
28.41	64	0 1 3
28.27	34	0 2 0
39.07	32	1 2 1
59.82	25	2 2 0
53.34	23	1 3 2
49.16	23	1 0 5
57.68	22	1 2 5
26.41	17	1 0 1
44.00	16	0 2 4

Structure:
```
data_Pr2NdB2N4
_chemical_formula_sum 'Pr4 Nd2 B4 N8'
_symmetry_space_group_name_H-M 'I m m m'
_symmetry_Int_Tables_number 71
_symmetry_space_group_name_Hall '-I 2 2'
_cell_length_a 3.5502
_cell_length_b 6.3145
_cell_length_c 10.8642
_cell_angle_alpha 90.00
_cell_angle_beta 90.00
_cell_angle_gamma 90.00
loop_
_atom_site_label
_atom_site_type_symbol
_atom_site_fract_x
_atom_site_fract_y
_atom_site_fract_z
Pr1 Pr 0.0000 0.0000 0.2015
Nd1 Nd 0.0000 0.5000 0.0000
B1 B 0.0000 0.3568 0.5000
N1 N 0.0000 0.2431 0.3816
```

***

Entry 11:
Simulated powder XRD pattern
Compound: Dy2HoAl3CuGe2
Radiation: a wavelength of 1.5418 Å
Structure: the GGA-PBE geometry in OQMD
Kinematic intensities with the Lorentz-polarization factor, no thermal factor.

Top 10 peaks for 2θ from 5° to 70°, most intense first:
Position (°2θ)	I/Imax	index
33.44	100	1 3 1
36.66	70	1 4 0
25.44	38	0 0 2
59.24	25	1 5 3
39.30	23	0 1 3
21.34	23	1 0 0
43.47	23	2 0 0
44.83	22	0 6 0
29.45	18	0 4 0
54.55	18	0 7 1

Structure:
```
data_Dy2HoAl3CuGe2
_chemical_formula_sum 'Dy4 Ho2 Al6 Cu2 Ge4'
_symmetry_space_group_name_H-M 'A m m 2'
_symmetry_Int_Tables_number 38
_cell_length_a 4.1639
_cell_length_b 12.1295
_cell_length_c 7.0039
_cell_angle_alpha 90.00
_cell_angle_beta 90.00
_cell_angle_gamma 90.00
loop_
_symmetry_equiv_pos_as_xyz
'x,y,z'
'-x,-y,z'
'-x,y,z'
'x,-y,z'
'x,y+1/2,z+1/2'
'-x,-y+1/2,z+1/2'
'-x,y+1/2,z+1/2'
'x,-y+1/2,z+1/2'
loop_
_atom_site_label
_atom_site_type_symbol
_atom_site_fract_x
_atom_site_fract_y
_atom_site_fract_z
Dy1 Dy 0.0000 0.2015 0.0000
Ho1 Ho 0.0000 0.0000 0.6045
Al1 Al 0.5000 0.0000 0.9692
Al2 Al 0.5000 0.1161 0.3176
Cu1 Cu 0.0000 0.0000 0.2017
Ge1 Ge 0.5000 0.1666 0.7015
```